# 1
Diffraction record for LaPr2ErTh. The powder X-ray diffraction pattern is computed, not measured: it uses the GGA-PBE geometry in Alexandria and Cu Kα.

Structural model:
abc: 6.4613 8.7542 6.3093
angles: 90.00 90.00 90.00
Space group Pmma (No. 51)
Symmetry-distinct sites (fractional):
La1 0.2500 0.0000 0.0362
Pr1 0.2500 0.3128 0.7867
Er1 0.2500 0.5000 0.3087
Th1 0.0000 0.0000 0.5000

The 8 most intense peaks (2θ from 10° to 90°), sorted by position:
2θ/deg, intensity, index
20.3, 410, 0 2 0
28.4, 1000, 1 2 1
29.5, 408, 2 1 0
30.1, 954, 0 1 2
32.8, 729, 2 1 1
36.7, 508, 1 3 1
44.2, 517, 2 3 1
56.3, 397, 2 2 3

# 2
Diffraction record for LaPrEr5Th2. The powder X-ray diffraction pattern is computed, not measured: it uses the GGA-PBE geometry in Alexandria and Cu Kα.

Structural model:
abc: 8.9173 8.9173 15.2231
angles: 90.00 90.00 90.00
Space group I4/mcm (No. 140)
Symmetry-distinct sites (fractional):
La1 0.0000 0.0000 0.2500
Pr1 0.0000 0.5000 0.2500
Er1 0.0000 0.0000 0.0000
Er2 0.2052 0.2948 0.1348
Th1 0.1186 0.3814 0.5000

The 8 most intense peaks (2θ from 10° to 90°), sorted by position:
2θ/deg, intensity, index
28.3, 507, 2 2 0
28.5, 794, 2 1 3
30.9, 1000, 2 0 4
31.7, 222, 3 1 0
36.8, 307, 3 2 1
37.2, 245, 2 1 5
42.2, 294, 4 0 2
51.8, 207, 4 2 4

# 3
Diffraction record for LaPr2ErTm4. The powder X-ray diffraction pattern is computed, not measured: it uses the GGA-PBE geometry in Alexandria and Cu Kα.

Structural model:
abc: 12.3898 7.1707 12.3124
angles: 90.00 109.45 90.00
Space group C2/m (No. 12)
Symmetry-distinct sites (fractional):
La1 0.2500 0.2500 0.0000
Pr1 0.0000 0.0000 0.0000
Pr2 0.0000 0.0000 0.5000
Pr3 0.2500 0.2500 0.5000
Er1 0.0000 0.5000 0.0000
Er2 0.0000 0.5000 0.5000
Tm1 0.0003 0.2508 0.2506
Tm2 0.2492 0.5000 0.7487
Tm3 0.2498 0.0000 0.7492

The 8 most intense peaks (2θ from 10° to 90°), sorted by position:
2θ/deg, intensity, index
30.6, 1000, 4 0 0
30.8, 327, 0 0 4
35.5, 449, 2 2 2
35.6, 223, 4 0 -4
51.0, 161, 6 2 -2
51.3, 238, 4 0 4
60.7, 238, 6 2 2
60.9, 189, 2 2 6

# 4
Diffraction record for LaPrEr2Tm4. The powder X-ray diffraction pattern is computed, not measured: it uses the GGA-PBE geometry in Alexandria and Cu Kα.

Structural model:
abc: 7.1441 7.1534 9.9397
angles: 90.00 90.00 90.00
Space group Pmmm (No. 47)
Symmetry-distinct sites (fractional):
La1 0.0000 0.0000 0.0000
La2 0.5000 0.0000 0.0000
Pr1 0.0000 0.0000 0.5000
Pr2 0.0000 0.5000 0.0000
Er1 0.0000 0.5000 0.5000
Er2 0.5000 0.0000 0.5000
Er3 0.5000 0.5000 0.0000
Er4 0.5000 0.5000 0.5000
Tm1 0.2529 0.2534 0.2545

The 8 most intense peaks (2θ from 10° to 90°), sorted by position:
2θ/deg, intensity, index
30.8, 1000, 2 0 2
35.5, 343, 2 2 0
36.1, 163, 0 0 4
51.1, 122, 4 0 0
51.6, 237, 2 2 4
60.9, 289, 4 2 2
61.7, 137, 2 0 6
64.2, 123, 4 0 4

# 5
Diffraction record for La7Er4Pu. The powder X-ray diffraction pattern is computed, not measured: it uses the GGA-PBE geometry in Alexandria and Cu Kα.

Structural model:
abc: 5.8098 6.4773 11.5293
angles: 101.07 104.53 90.01
Space group P-1 (No. 2)
Symmetry-distinct sites (fractional):
La1 0.0000 0.0000 0.0000
La2 0.1339 0.4939 0.2663
La3 0.2090 0.0658 0.4172
La4 0.4529 0.6970 0.9068
Er1 0.2913 0.6080 0.5834
Er2 0.3827 0.1619 0.7676
Pu1 0.0000 0.5000 0.0000

The 8 most intense peaks (2θ from 10° to 90°), sorted by position:
2θ/deg, intensity, index
30.6, 225, 0 1 3
30.8, 722, 2 0 -1
31.1, 493, 1 1 2
31.7, 1000, 1 2 -1
33.1, 720, 1 -1 3
44.0, 168, 2 1 2
55.3, 208, 3 2 -2
58.9, 165, 2 -3 3

# 6
Diffraction record for La14ErPu. The powder X-ray diffraction pattern is computed, not measured: it uses the GGA-PBE geometry in Alexandria and Cu Kα.

Structural model:
abc: 10.4258 10.4205 10.4156
angles: 90.00 90.00 90.00
Space group Amm2 (No. 38)
Symmetry-distinct sites (fractional):
La1 0.0000 0.0000 0.0000
La2 0.0000 0.0000 0.4978
La3 0.0000 0.2435 0.2487
La4 0.2485 0.0000 0.7473
La5 0.2571 0.2468 0.4989
La6 0.2652 0.0000 0.2535
La7 0.5000 0.2421 0.7469
Er1 0.5000 0.0000 0.9977
Pu1 0.5000 0.0000 0.4997

The 8 most intense peaks (2θ from 10° to 90°), sorted by position:
2θ/deg, intensity, index
29.7, 1000, 2 2 2
34.4, 506, 0 0 4
49.5, 359, 0 4 4
58.8, 424, 2 2 6
61.7, 122, 4 4 4
72.6, 56, 0 0 8
80.3, 168, 2 6 6
82.9, 156, 0 4 8

# 7
Diffraction record for Rb4LaEr3Se8. The powder X-ray diffraction pattern is computed, not measured: it uses the GGA-PBE geometry in Alexandria and Cu Kα.

Structural model:
abc: 8.5524 8.5524 23.9797
angles: 90.00 90.00 120.00
Space group R-3m (No. 166, hexagonal axes)
Symmetry-distinct sites (fractional):
Rb1 0.0000 0.0000 0.0000
Rb2 0.0000 0.5000 0.0000
La1 0.0000 0.0000 0.5000
Er1 0.0000 0.5000 0.5000
Se1 0.0000 0.0000 0.2310
Se2 0.0121 0.5061 0.7678

The 8 most intense peaks (2θ from 10° to 90°), sorted by position:
2θ/deg, intensity, index
11.1, 298, 0 0 3
28.3, 1000, 0 2 4
35.7, 123, 0 2 7
38.6, 337, 2 0 8
42.3, 361, 2 2 0
51.7, 184, 4 0 4
63.7, 101, 2 2 12
68.9, 153, 2 4 4

# 8
Diffraction record for La2ErS3. The powder X-ray diffraction pattern is computed, not measured: it uses the GGA-PBE geometry in Alexandria and Cu Kα.

Structural model:
abc: 4.0725 4.0725 17.2091
angles: 90.00 90.00 90.00
Space group I4/mmm (No. 139)
Symmetry-distinct sites (fractional):
La1 0.0000 0.0000 0.1693
Er1 0.0000 0.0000 0.5000
S1 0.0000 0.0000 0.0000
S2 0.0000 0.0000 0.3415

The 8 most intense peaks (2θ from 10° to 90°), sorted by position:
2θ/deg, intensity, index
26.8, 1000, 1 0 3
31.1, 891, 1 1 0
31.2, 433, 0 0 6
44.6, 956, 2 0 0
52.7, 333, 2 1 3
55.3, 331, 2 0 6
73.6, 284, 3 1 0
82.0, 213, 3 1 6

# 9
Diffraction record for La3ErS4. The powder X-ray diffraction pattern is computed, not measured: it uses the GGA-PBE geometry in Alexandria and Cu Kα.

Structural model:
abc: 8.2394 11.5649 4.0510
angles: 90.00 90.00 90.00
Space group Cmmm (No. 65)
Symmetry-distinct sites (fractional):
La1 0.0000 0.0000 0.0000
La2 0.2500 0.2500 0.5000
Er1 0.0000 0.5000 0.0000
S1 0.0000 0.2591 0.0000
S2 0.2325 0.5000 0.5000

The 8 most intense peaks (2θ from 10° to 90°), sorted by position:
2θ/deg, intensity, index
26.6, 379, 2 2 0
26.9, 365, 0 2 1
30.9, 1000, 2 0 1
44.3, 482, 2 4 1
52.3, 129, 4 2 1
54.7, 126, 4 4 0
55.4, 124, 0 4 2
73.2, 211, 4 4 2

# 10
Diffraction record for La2Er2Se2S3. The powder X-ray diffraction pattern is computed, not measured: it uses the GGA-PBE geometry in Alexandria and Cu Kα.

Structural model:
abc: 5.0660 5.0660 18.6412
angles: 90.00 90.00 90.00
Space group I4/mmm (No. 139)
Symmetry-distinct sites (fractional):
La1 0.0000 0.0000 0.1812
Er1 0.0000 0.5000 0.0000
Se1 0.0000 0.0000 0.4061
S1 0.0000 0.0000 0.0000
S2 0.0000 0.5000 0.2500

The 8 most intense peaks (2θ from 10° to 90°), sorted by position:
2θ/deg, intensity, index
22.6, 327, 1 0 3
26.7, 663, 1 1 2
29.8, 749, 1 0 5
31.5, 1000, 1 1 4
35.4, 999, 2 0 0
46.5, 483, 1 1 8
46.9, 416, 2 1 5
51.0, 349, 2 2 0